The following is a simulated powder X-ray diffraction pattern of Sm2Ge4Os3. It was derived from a cell relaxed with GGA-PBE, using Cu Ka.
No peak broadening, texture or thermal motion is included.

Crystal structure
Cell: 5.5847 9.7871 12.6446 Å, 90.00 90.00 90.00°
Space group Fmmm (No. 69)
Symmetry-distinct sites (fractional):
Sm 0.0000 0.0000 0.1318 x8
Ge 0.0000 0.1680 0.3444 x16
Os 0.0000 0.0000 0.5000 x4
Os 0.2500 0.2500 0.0000 x8

Most intense lines, 10° ≤ 2θ ≤ 80°, low angle first:
d (Å), I/Imax, (hkl)
6.322, 97, 0 0 2
3.182, 34, 1 1 3
2.425, 53, 2 2 0
2.342, 100, 1 3 3
2.264, 62, 2 2 2
2.093, 34, 2 0 4


The following is a simulated powder X-ray diffraction pattern of TlRu5. It was derived from a cell relaxed with GGA-PBE, using Cu Ka.
No peak broadening, texture or thermal motion is included.

Crystal structure
Cell: 2.8017 2.8017 11.7137 Å, 90.00 90.00 90.00°
Space group P4/mmm (No. 123)
Symmetry-distinct sites (fractional):
Tl 0.0000 0.0000 0.0000 x1
Ru 0.0000 0.0000 0.3383 x2
Ru 0.5000 0.5000 0.1914 x2
Ru 0.5000 0.5000 0.5000 x1

Most intense lines, 10° ≤ 2θ ≤ 80°, low angle first:
d (Å), I/Imax, (hkl)
2.527, 7, 1 0 2
2.276, 100, 1 0 3
1.981, 35, 1 1 0
1.952, 13, 0 0 6
1.401, 11, 2 0 0
1.391, 17, 1 1 6


The following is a simulated powder X-ray diffraction pattern of ThGa2CuAu. It was derived from a cell relaxed with GGA-PBE, using Cu Ka.
No peak broadening, texture or thermal motion is included.

Crystal structure
Cell: 4.3383 4.3383 10.3197 Å, 90.00 90.00 90.00°
Space group I-4m2 (No. 119)
Symmetry-distinct sites (fractional):
Th 0.0000 0.0000 0.0000 x2
Ga 0.0000 0.0000 0.3812 x4
Cu 0.0000 0.5000 0.7500 x2
Au 0.0000 0.5000 0.2500 x2

Most intense lines, 10° ≤ 2θ ≤ 80°, low angle first:
d (Å), I/Imax, (hkl)
3.999, 33, 1 0 1
2.695, 48, 1 0 3
2.637, 100, 1 1 2
2.169, 46, 2 0 0
1.690, 25, 2 1 3
1.326, 24, 3 1 2


The following is a simulated powder X-ray diffraction pattern of TmMgIn6. It was derived from a cell relaxed with GGA-PBE, using Cu Ka.
No peak broadening, texture or thermal motion is included.

Crystal structure
Cell: 9.2786 9.3383 4.5940 Å, 90.00 90.00 90.00°
Space group Cmmm (No. 65)
Symmetry-distinct sites (fractional):
Tm 0.0000 0.0000 0.0000 x2
Mg 0.0000 0.5000 0.0000 x2
In 0.0000 0.2514 0.5000 x4
In 0.2474 0.5000 0.5000 x4
In 0.2500 0.2500 0.0000 x4

Most intense lines, 10° ≤ 2θ ≤ 80°, low angle first:
d (Å), I/Imax, (hkl)
2.675, 100, 2 2 1
2.335, 17, 0 4 0
2.320, 17, 4 0 0
2.297, 16, 0 0 2
1.405, 13, 2 6 1
1.398, 13, 6 2 1


The following is a simulated powder X-ray diffraction pattern of CrIn2Te. It was derived from a cell relaxed with GGA-PBE, using Cu Ka.
No peak broadening, texture or thermal motion is included.

Crystal structure
Cell: 3.5470 3.5470 7.9595 Å, 90.00 90.00 90.00°
Space group P4mm (No. 99)
Symmetry-distinct sites (fractional):
Cr 0.0000 0.0000 0.0000 x1
In 0.0000 0.0000 0.5070 x1
In 0.5000 0.5000 0.2397 x1
Te 0.5000 0.5000 0.8407 x1

Most intense lines, 10° ≤ 2θ ≤ 80°, low angle first:
d (Å), I/Imax, (hkl)
3.240, 23, 1 0 1
2.649, 100, 1 0 2
2.508, 51, 1 1 0
1.823, 15, 1 1 3
1.774, 17, 2 0 0
1.474, 35, 2 1 2


The following is a simulated powder X-ray diffraction pattern of Cs4TiBr5. It was derived from a cell relaxed with GGA-PBE, using Cu Ka.
No peak broadening, texture or thermal motion is included.

Crystal structure
Cell: 11.0396 11.0396 7.2957 Å, 90.00 90.00 90.00°
Space group I4 (No. 79)
Symmetry-distinct sites (fractional):
Cs 0.0937 0.2978 0.0000 x8
Ti 0.0000 0.0000 0.4546 x2
Br 0.0000 0.0000 0.0792 x2
Br 0.0812 0.2427 0.4999 x8

Most intense lines, 10° ≤ 2θ ≤ 80°, low angle first:
d (Å), I/Imax, (hkl)
4.089, 25, 2 1 1
3.648, 58, 0 0 2
3.491, 100, 1 3 0
2.522, 78, 1 3 2
2.469, 29, 4 2 0
2.044, 28, 4 2 2


The following is a simulated powder X-ray diffraction pattern of LaPm12Pr5. It was derived from a cell relaxed with GGA-PBE, using Cu Ka.
No peak broadening, texture or thermal motion is included.

Crystal structure
Cell: 11.7266 17.7695 6.1131 Å, 90.00 90.12 90.00°
Space group C2/m (No. 12)
Symmetry-distinct sites (fractional):
La 0.0000 0.0000 0.0000 x2
Pm 0.1764 0.5000 0.9490 x4
Pm 0.1780 0.3333 0.5535 x8
Pm 0.1786 0.0000 0.5511 x4
Pm 0.1792 0.1667 0.9460 x8
Pr 0.0000 0.1671 0.5000 x4
Pr 0.0000 0.3320 0.0000 x4
Pr 0.0000 0.5000 0.5000 x2

Most intense lines, 10° ≤ 2θ ≤ 80°, low angle first:
d (Å), I/Imax, (hkl)
3.057, 24, 0 0 2
2.962, 30, 0 6 0
2.878, 100, 3 3 1
2.646, 15, 1 3 2
2.127, 17, 0 6 2
1.693, 21, 3 9 1